Theoretical X-ray diffraction stick pattern
Compound: Sm3Dy3Y4
Radiation: Cu Kα, 1.54184 Å
Structure: DFT lattice parameters and positions (PBE)
No peak broadening, texture or thermal motion is included.

The 6 most intense peaks (2θ from 10° to 90°), by intensity:
2theta  I (rel.)
32.2  1000
29.9  756
30.7  512
26.7  224
58.8  221
55.4  204

Crystal structure
Unit cell a=3.6923 b=9.4584 c=9.4584 alpha=89.84 beta=90.00 gamma=90.00
Element x y z (fractional)
Sm 0.0000 0.0000 0.0000
Sm 0.0000 0.4990 0.8465
Sm 0.0000 0.8465 0.4990
Dy 0.0000 0.3470 0.3470
Dy 0.5000 0.1745 0.6700
Dy 0.5000 0.6700 0.1745
Y 0.5000 0.0496 0.2997
Y 0.5000 0.2997 0.0496
Y 0.5000 0.5470 0.5470
Y 0.5000 0.7987 0.7987